Structure and simulated PXRD pattern of Sr2Mg12Sn7 (a GGA-PBE-relaxed structure; Cu Kα (λ = 1.5418 Å)).

Structural model:
```
Sr2Mg12Sn7
1.0
11.7212 0.0000 0.0000
-5.8606 10.1509 0.0000
0.0000 0.0000 4.6095
Sr Mg Sn
2 12 7
direct
0.3333 0.6667 0.2555 Sr
0.6667 0.3333 0.7445 Sr
0.0466 0.6183 0.7492 Mg
0.1100 0.8504 0.2514 Mg
0.1496 0.2596 0.2514 Mg
0.2596 0.1100 0.7486 Mg
0.3817 0.4283 0.7492 Mg
0.4283 0.0466 0.2508 Mg
0.5717 0.9534 0.7492 Mg
0.6183 0.5717 0.2508 Mg
0.7404 0.8900 0.2514 Mg
0.8504 0.7404 0.7486 Mg
0.8900 0.1496 0.7486 Mg
0.9534 0.3817 0.2508 Mg
0.0000 0.0000 0.5000 Sn
0.1250 0.4178 0.7551 Sn
0.2928 0.8750 0.7551 Sn
0.4178 0.2928 0.2449 Sn
0.5822 0.7072 0.7551 Sn
0.7072 0.1250 0.2449 Sn
0.8750 0.5822 0.2449 Sn
```

Top 10 peaks for 2θ = 10–90°, in order of rising 2θ:
3.837 Å, 23.2 deg, intensity 100, (1 2 0); 3.623 Å, 24.6 deg, intensity 46, (2 -1 1); 3.412 Å, 26.1 deg, intensity 61, (0 2 1); 2.949 Å, 30.3 deg, intensity 100, (2 1 1); 2.403 Å, 37.4 deg, intensity 45, (3 1 1); 2.305 Å, 39.1 deg, intensity 25, (0 0 2); 2.215 Å, 40.7 deg, intensity 69, (4 1 0); 2.079 Å, 43.5 deg, intensity 39, (5 -2 1); 1.976 Å, 45.9 deg, intensity 24, (1 2 2); 1.597 Å, 57.7 deg, intensity 30, (4 1 2)